Record 1
Starting from DFT lattice parameters and positions (PBE+U), the powder XRD pattern of Na3Dy3CrO8 was calculated for Cu Ka.

The 10 most intense peaks (10 to 90 degrees two-theta), in order of rising 2θ:
| 2θ/deg | Rel. int. |
| --- | --- |
| 16.0 | 100 |
| 31.5 | 45 |
| 32.3 | 18 |
| 32.9 | 47 |
| 38.0 | 71 |
| 41.5 | 17 |
| 49.7 | 18 |
| 54.4 | 22 |
| 55.2 | 22 |
| 57.9 | 20 |

Structure:
a = 6.744 Å, b = 6.744 Å, c = 6.744 Å
α = 59.08°, β = 59.08°, γ = 59.08°
Fractional positions:
1 Na 0.000 0.500 0.500
2 Na 0.500 0.000 0.500
3 Na 0.500 0.500 0.000
4 Dy 0.000 0.000 0.500
5 Dy 0.000 0.500 0.000
6 Dy 0.500 0.000 0.000
7 Cr 0.500 0.500 0.500
8 O 0.237 0.237 0.237
9 O 0.270 0.712 0.712
10 O 0.288 0.288 0.730
11 O 0.288 0.730 0.288
12 O 0.712 0.270 0.712
13 O 0.712 0.712 0.270
14 O 0.730 0.288 0.288
15 O 0.763 0.763 0.763

---

Record 2
Starting from DFT lattice parameters and positions (PBE+U), the powder XRD pattern of NdDyCr2O8 was calculated for Cu Ka.

The 10 most intense peaks (10 to 90 degrees two-theta), in order of rising 2θ:
| 2θ/deg | Rel. int. |
| --- | --- |
| 18.5 | 33 |
| 24.3 | 100 |
| 33.0 | 69 |
| 34.6 | 22 |
| 39.5 | 14 |
| 48.6 | 58 |
| 49.8 | 16 |
| 56.1 | 14 |
| 61.1 | 17 |
| 72.1 | 13 |

Structure:
a = 6.080 Å, b = 6.080 Å, c = 6.080 Å
α = 105.90°, β = 105.90°, γ = 116.88°
Fractional positions:
1 Nd 0.000 0.000 0.000
2 Dy 0.750 0.250 0.500
3 Cr 0.250 0.750 0.500
4 Cr 0.500 0.500 0.000
5 O 0.075 0.396 0.321
6 O 0.075 0.754 0.679
7 O 0.147 0.332 0.815
8 O 0.246 0.925 0.321
9 O 0.517 0.332 0.185
10 O 0.604 0.925 0.679
11 O 0.668 0.483 0.815
12 O 0.668 0.853 0.185

---

Record 3
Starting from DFT lattice parameters and positions (PBE+U), the powder XRD pattern of DyCrO5 was calculated for Cu Ka.

The 10 most intense peaks (10 to 90 degrees two-theta), in order of rising 2θ:
| 2θ/deg | Rel. int. |
| --- | --- |
| 17.3 | 33 |
| 23.2 | 100 |
| 24.5 | 97 |
| 34.0 | 32 |
| 35.0 | 22 |
| 39.3 | 19 |
| 42.4 | 32 |
| 43.8 | 30 |
| 49.6 | 22 |
| 57.3 | 36 |

Structure:
a = 7.253 Å, b = 7.253 Å, c = 4.515 Å
α = 90.00°, β = 90.00°, γ = 90.00°
Fractional positions:
1 Dy 0.250 0.250 0.246
2 Dy 0.750 0.750 0.754
3 Cr 0.250 0.750 0.500
4 Cr 0.750 0.250 0.500
5 O 0.062 0.750 0.712
6 O 0.250 0.250 0.748
7 O 0.250 0.562 0.288
8 O 0.250 0.938 0.288
9 O 0.438 0.750 0.712
10 O 0.562 0.250 0.288
11 O 0.750 0.062 0.712
12 O 0.750 0.438 0.712
13 O 0.750 0.750 0.252
14 O 0.938 0.250 0.288

---

Record 4
Starting from DFT lattice parameters and positions (PBE+U), the powder XRD pattern of Dy3CrO7 was calculated for Cu Ka.

The 10 most intense peaks (10 to 90 degrees two-theta), in order of rising 2θ:
| 2θ/deg | Rel. int. |
| --- | --- |
| 14.6 | 12 |
| 29.4 | 97 |
| 30.0 | 100 |
| 34.3 | 43 |
| 34.6 | 20 |
| 49.5 | 49 |
| 50.0 | 17 |
| 58.0 | 16 |
| 59.1 | 25 |
| 59.2 | 13 |

Structure:
a = 6.401 Å, b = 6.401 Å, c = 7.293 Å
α = 90.00°, β = 90.00°, γ = 108.10°
Fractional positions:
1 Dy 0.041 0.498 0.260
2 Dy 0.048 0.048 0.000
3 Dy 0.498 0.041 0.740
4 Dy 0.502 0.959 0.240
5 Dy 0.952 0.952 0.500
6 Dy 0.959 0.502 0.760
7 Cr 0.494 0.494 0.500
8 Cr 0.506 0.506 0.000
9 O 0.130 0.870 0.750
10 O 0.139 0.861 0.250
11 O 0.181 0.425 0.977
12 O 0.208 0.458 0.543
13 O 0.425 0.181 0.023
14 O 0.437 0.563 0.250
15 O 0.458 0.208 0.457
16 O 0.542 0.792 0.957
17 O 0.563 0.437 0.750
18 O 0.575 0.819 0.523
19 O 0.792 0.542 0.043
20 O 0.819 0.575 0.477
21 O 0.861 0.139 0.750
22 O 0.870 0.130 0.250

---

Record 5
Starting from DFT lattice parameters and positions (PBE+U), the powder XRD pattern of Dy2CrSbO7 was calculated for Cu Ka.

The 10 most intense peaks (10 to 90 degrees two-theta), in order of rising 2θ:
| 2θ/deg | Rel. int. |
| --- | --- |
| 14.8 | 21 |
| 29.9 | 100 |
| 30.2 | 100 |
| 34.8 | 43 |
| 35.0 | 21 |
| 49.7 | 16 |
| 50.2 | 63 |
| 50.3 | 15 |
| 59.3 | 29 |
| 59.7 | 42 |

Structure:
a = 7.276 Å, b = 7.276 Å, c = 7.276 Å
α = 120.21°, β = 119.46°, γ = 90.28°
Fractional positions:
1 Dy 0.000 0.000 0.000
2 Dy 0.500 0.000 0.000
3 Dy 0.500 0.000 0.500
4 Dy 0.500 0.500 0.500
5 Cr 0.000 0.000 0.500
6 Cr 0.000 0.500 0.000
7 Sb 0.000 0.500 0.500
8 Sb 0.500 0.500 0.000
9 O 0.089 0.421 0.258
10 O 0.089 0.831 0.669
11 O 0.091 0.841 0.250
12 O 0.332 0.582 0.750
13 O 0.337 0.169 0.758
14 O 0.337 0.579 0.169
15 O 0.378 0.128 0.250
16 O 0.622 0.872 0.750
17 O 0.663 0.421 0.831
18 O 0.663 0.831 0.242
19 O 0.668 0.418 0.250
20 O 0.909 0.159 0.750
21 O 0.911 0.169 0.331
22 O 0.911 0.579 0.742

---

Record 6
Starting from DFT lattice parameters and positions (PBE+U), the powder XRD pattern of DyScCr2O8 was calculated for Cu Ka.

The 10 most intense peaks (10 to 90 degrees two-theta), in order of rising 2θ:
| 2θ/deg | Rel. int. |
| --- | --- |
| 17.8 | 24 |
| 19.1 | 35 |
| 25.2 | 100 |
| 31.8 | 15 |
| 34.1 | 63 |
| 36.0 | 17 |
| 41.0 | 14 |
| 50.4 | 56 |
| 51.8 | 16 |
| 63.5 | 17 |

Structure:
a = 5.875 Å, b = 5.875 Å, c = 5.875 Å
α = 106.14°, β = 106.14°, γ = 116.37°
Fractional positions:
1 Dy 0.000 0.000 0.000
2 Sc 0.250 0.750 0.500
3 Cr 0.500 0.500 0.000
4 Cr 0.750 0.250 0.500
5 O 0.326 0.135 0.809
6 O 0.326 0.517 0.191
7 O 0.385 0.067 0.318
8 O 0.483 0.674 0.809
9 O 0.749 0.067 0.682
10 O 0.865 0.674 0.191
11 O 0.933 0.251 0.318
12 O 0.933 0.615 0.682